This entry pairs a crystal structure of TmIn2Pb2 with its calculated powder XRD pattern. Radiation: Cu Kα (weighted mean of Kα1 and Kα2). Structure: a structure optimized by DFT (PBE).
Lines closer than 0.1° are merged.

Largest 10 diffraction maxima, sorted by position, 15° ≤ 2θ ≤ 90°:
(hkl)	two_theta	intensity
1 5 1	32.5	100
0 10 0	34.3	21
0 0 2	38.7	16
2 0 0	39.8	15
0 10 2	52.7	12
2 10 0	53.6	15
1 15 1	60.3	16
1 5 3	66.2	13
3 5 1	67.7	12
2 10 2	68.1	12

Structure:
a = 4.525 Å, b = 26.132 Å, c = 4.649 Å
α = 90.00°, β = 90.00°, γ = 90.00°
Space group Cmcm (No. 63)
Inequivalent atoms, fractional coordinates:
Tm: 0.000 0.146 0.250 x4
In: 0.000 0.050 0.750 x4
In: 0.000 0.453 0.750 x4
Pb: 0.000 0.251 0.750 x4
Pb: 0.000 0.355 0.250 x4



This entry pairs a crystal structure of Tm5InPb6 with its calculated powder XRD pattern. Radiation: Cu Kα (weighted mean of Kα1 and Kα2). Structure: a structure optimized by DFT (PBE).
Lines closer than 0.1° are merged.

Largest 10 diffraction maxima, sorted by position, 15° ≤ 2θ ≤ 90°:
(hkl)	two_theta	intensity
1 2 3	32.4	100
0 0 6	35.1	19
2 0 0	37.4	19
0 4 0	40.3	14
2 0 6	52.2	12
2 4 0	56.1	11
1 2 9	61.3	13
3 2 3	64.3	14
2 4 6	67.9	11
1 6 3	68.3	11

Structure:
a = 4.815 Å, b = 8.951 Å, c = 15.344 Å
α = 90.00°, β = 90.00°, γ = 90.00°
Space group Immm (No. 71)
Inequivalent atoms, fractional coordinates:
Tm: 0.000 0.000 0.000 x2
Tm: 0.000 0.000 0.356 x4
Tm: 0.000 0.500 0.327 x4
In: 0.000 0.500 0.000 x2
Pb: 0.000 0.246 0.170 x8
Pb: 0.000 0.267 0.500 x4



This entry pairs a crystal structure of Y10In3Pb3 with its calculated powder XRD pattern. Radiation: Cu Kα (weighted mean of Kα1 and Kα2). Structure: a structure optimized by DFT (PBE).
Lines closer than 0.1° are merged.

Largest 10 diffraction maxima, sorted by position, 15° ≤ 2θ ≤ 90°:
(hkl)	two_theta	intensity
1 1 1	23.8	25
0 0 2	26.6	30
2 1 0	30.2	21
2 1 1	33.1	100
1 1 2	33.3	69
3 0 0	34.4	34
2 0 2	35.3	17
3 1 1	43.9	28
2 1 3	51.2	29
5 0 2	65.9	22

Structure:
a = 9.0312 Å, b = 9.0312 Å, c = 6.7036 Å
α = 90.00°, β = 90.00°, γ = 120.00°
Space group P-62m (No. 189)
Inequivalent atoms, fractional coordinates:
Y: 0.0000 0.2370 0.0000 x3
Y: 0.0000 0.7630 0.5000 x3
Y: 0.3333 0.6667 0.2557 x4
In: 0.0000 0.3987 0.5000 x3
Pb: 0.0000 0.6015 0.0000 x3



This entry pairs a crystal structure of YIn2Pb with its calculated powder XRD pattern. Radiation: Cu Kα (weighted mean of Kα1 and Kα2). Structure: a structure optimized by DFT (PBE).
Lines closer than 0.1° are merged.

Largest 10 diffraction maxima, sorted by position, 15° ≤ 2θ ≤ 90°:
(hkl)	two_theta	intensity
1 0 1	21.3	8
1 1 2	32.8	100
0 0 4	35.1	20
2 0 0	39.5	29
2 0 4	53.9	24
2 2 0	57.1	10
1 1 6	61.5	16
3 1 2	67.5	24
2 2 4	68.8	11
3 1 6	88.9	12

Structure:
a = 4.559 Å, b = 4.559 Å, c = 10.239 Å
α = 90.00°, β = 90.00°, γ = 90.00°
Space group I-4m2 (No. 119)
Inequivalent atoms, fractional coordinates:
Y: 0.000 0.000 0.000 x2
In: 0.000 0.000 0.500 x2
In: 0.000 0.500 0.250 x2
Pb: 0.000 0.500 0.750 x2



This entry pairs a crystal structure of Y3InPb with its calculated powder XRD pattern. Radiation: Cu Kα (weighted mean of Kα1 and Kα2). Structure: a structure optimized by DFT (PBE).
Lines closer than 0.1° are merged.

Largest 10 diffraction maxima, sorted by position, 15° ≤ 2θ ≤ 90°:
(hkl)	two_theta	intensity
0 0 1	16.6	25
1 1 1	20.6	70
2 0 0	21.4	29
2 4 0	31.7	59
0 0 2	33.5	52
1 5 1	35.3	100
2 4 1	36.0	29
3 1 1	37.0	42
2 4 2	46.8	40
3 5 1	47.3	24

Structure:
a = 8.299 Å, b = 15.412 Å, c = 5.353 Å
α = 90.00°, β = 90.00°, γ = 90.00°
Space group Cmmm (No. 65)
Inequivalent atoms, fractional coordinates:
Y: 0.000 0.193 0.000 x4
Y: 0.189 0.500 0.500 x4
Y: 0.250 0.250 0.500 x4
In: 0.000 0.397 0.000 x4
Pb: 0.000 0.103 0.500 x4



This entry pairs a crystal structure of ZnInPb2 with its calculated powder XRD pattern. Radiation: Cu Kα (weighted mean of Kα1 and Kα2). Structure: a structure optimized by DFT (PBE).
Lines closer than 0.1° are merged.

Largest 10 diffraction maxima, sorted by position, 15° ≤ 2θ ≤ 90°:
(hkl)	two_theta	intensity
0 0 3	25.8	15
1 1 1	30.0	18
0 2 0	31.6	32
1 1 2	33.6	100
0 0 4	34.7	18
0 2 4	47.6	15
1 1 5	53.2	14
1 3 2	57.6	22
2 2 0	59.5	11
2 0 4	61.5	17

Structure:
a = 3.716 Å, b = 5.663 Å, c = 10.353 Å
α = 90.00°, β = 90.00°, γ = 90.00°
Space group Cmm2 (No. 35)
Inequivalent atoms, fractional coordinates:
Zn: 0.000 0.000 0.000 x2
In: 0.000 0.500 0.213 x2
Pb: 0.000 0.000 0.485 x2
Pb: 0.000 0.500 0.770 x2



Question: What is the formula in the second record?
Answer: Tm5InPb6



Please write out number 2 again, unchanged.
This entry pairs a crystal structure of Tm5InPb6 with its calculated powder XRD pattern. Radiation: Cu Kα (weighted mean of Kα1 and Kα2). Structure: a structure optimized by DFT (PBE).
Lines closer than 0.1° are merged.

Largest 10 diffraction maxima, sorted by position, 15° ≤ 2θ ≤ 90°:
(hkl)	two_theta	intensity
1 2 3	32.4	100
0 0 6	35.1	19
2 0 0	37.4	19
0 4 0	40.3	14
2 0 6	52.2	12
2 4 0	56.1	11
1 2 9	61.3	13
3 2 3	64.3	14
2 4 6	67.9	11
1 6 3	68.3	11

Structure:
a = 4.815 Å, b = 8.951 Å, c = 15.344 Å
α = 90.00°, β = 90.00°, γ = 90.00°
Space group Immm (No. 71)
Inequivalent atoms, fractional coordinates:
Tm: 0.000 0.000 0.000 x2
Tm: 0.000 0.000 0.356 x4
Tm: 0.000 0.500 0.327 x4
In: 0.000 0.500 0.000 x2
Pb: 0.000 0.246 0.170 x8
Pb: 0.000 0.267 0.500 x4